[1]
Diffraction record for CaSm3Pd4. The powder X-ray diffraction pattern is calculated, not measured: it uses DFT lattice parameters and positions (PBE) and λ = 1.5418 Å (Cu Kα).
Kinematic intensities with the Lorentz-polarization factor, no thermal factor.

Largest 6 diffraction maxima, by angle, 10° ≤ 2θ ≤ 90°:
two_theta  intensity  h k l
17.59  7  1 1 0
35.62  100  2 2 0
51.26  18  4 0 0
63.98  36  4 2 2
75.42  11  4 4 0
86.30  16  6 2 0

```
data_CaSm3Pd4
_cell_length_a 7.1293
_cell_length_b 7.1293
_cell_length_c 7.1293
_cell_angle_alpha 90.00
_cell_angle_beta 90.00
_cell_angle_gamma 90.00
_symmetry_space_group_name_H-M 'I m -3 m'
_symmetry_Int_Tables_number 229
_symmetry_space_group_name_Hall '-I 4 2 3'
loop_
_atom_site_label
_atom_site_type_symbol
_atom_site_fract_x
_atom_site_fract_y
_atom_site_fract_z
Ca1 Ca 0.0000 0.0000 0.0000
Sm1 Sm 0.0000 0.0000 0.5000
Pd1 Pd 0.2500 0.2500 0.2500
```


[2]
Diffraction record for LiCuP3O9. The powder X-ray diffraction pattern is calculated, not measured: it uses DFT lattice parameters and positions (PBE) and λ = 1.5418 Å (Cu Kα).
Kinematic intensities with the Lorentz-polarization factor, no thermal factor.

Largest 6 diffraction maxima, by angle, 10° ≤ 2θ ≤ 90°:
two_theta  intensity  h k l
18.68  25  0 0 2
21.54  100  1 0 2
23.71  52  1 2 0
25.67  21  2 1 1
30.17  30  0 1 3
33.71  49  1 3 0

```
data_LiCuP3O9
_cell_length_a 8.3197
_cell_length_b 8.4094
_cell_length_c 9.4986
_cell_angle_alpha 90.00
_cell_angle_beta 90.00
_cell_angle_gamma 90.00
_symmetry_space_group_name_H-M 'P 21 21 21'
_symmetry_Int_Tables_number 19
loop_
_symmetry_equiv_pos_as_xyz
'x,y,z'
'-x+1/2,-y,z+1/2'
'x+1/2,-y+1/2,-z'
'-x,y+1/2,-z+1/2'
loop_
_atom_site_label
_atom_site_type_symbol
_atom_site_fract_x
_atom_site_fract_y
_atom_site_fract_z
Li1 Li 0.1630 0.1070 0.3914
Cu1 Cu 0.1319 0.8557 0.1522
P1 P 0.0340 0.3201 0.6850
P2 P 0.1744 0.4832 0.1944
P3 P 0.2035 0.8132 0.5805
O1 O 0.0412 0.7664 0.6671
O2 O 0.0824 0.6218 0.1328
O3 O 0.0943 0.8809 0.9103
O4 O 0.1016 0.3933 0.3164
O5 O 0.1387 0.1883 0.6248
O6 O 0.1513 0.4589 0.7442
O7 O 0.1608 0.8690 0.4371
O8 O 0.1884 0.0851 0.1734
O9 O 0.2158 0.3621 0.0681
```